1.
Theoretical powder XRD pattern
Compound: PmHo7Tm3
Radiation: Cu Kα (weighted mean of Kα1 and Kα2)
Structure: a DFT-relaxed cell (PBE, Alexandria)

Peak list (10 most intense, 15 to 90 degrees two-theta, by angle)
| 2θ/deg | d (Å) | I/Imax |
| --- | --- | --- |
| 31.7 | 2.819 | 35 |
| 32.0 | 2.797 | 100 |
| 32.1 | 2.787 | 75 |
| 32.3 | 2.772 | 87 |
| 32.6 | 2.747 | 94 |
| 32.7 | 2.739 | 30 |
| 33.3 | 2.687 | 98 |
| 46.9 | 1.939 | 29 |
| 57.8 | 1.595 | 28 |
| 58.7 | 1.574 | 36 |

abc: 6.896 5.495 9.806
angles: 90.00 109.51 90.00
Element x y z (fractional)
Pm (0.000, 0.000, 0.000)
Ho (0.000, 0.000, 0.500)
Ho (0.148, 0.500, 0.790)
Ho (0.325, 0.500, 0.143)
Ho (0.426, 0.000, 0.332)
Ho (0.574, 0.000, 0.668)
Ho (0.675, 0.500, 0.857)
Ho (0.852, 0.500, 0.210)
Tm (0.276, 0.500, 0.496)
Tm (0.500, 0.000, 0.000)
Tm (0.724, 0.500, 0.504)

***

2.
Theoretical powder XRD pattern
Compound: PmHo4Tm5
Radiation: Cu Kα (weighted mean of Kα1 and Kα2)
Structure: a DFT-relaxed cell (PBE, Alexandria)

Peak list (10 most intense, 15 to 90 degrees two-theta, by angle)
| 2θ/deg | d (Å) | I/Imax |
| --- | --- | --- |
| 29.4 | 3.037 | 38 |
| 31.2 | 2.868 | 16 |
| 31.6 | 2.833 | 73 |
| 32.5 | 2.756 | 55 |
| 32.9 | 2.724 | 51 |
| 33.1 | 2.710 | 100 |
| 33.5 | 2.678 | 18 |
| 50.5 | 1.808 | 19 |
| 57.6 | 1.600 | 16 |
| 61.0 | 1.518 | 17 |

abc: 3.523 6.606 13.993
angles: 98.46 93.20 103.95
Element x y z (fractional)
Pm (0.000, 0.000, 0.000)
Ho (0.114, 0.809, 0.218)
Ho (0.194, 0.728, 0.804)
Ho (0.806, 0.272, 0.196)
Ho (0.886, 0.191, 0.782)
Tm (0.205, 0.881, 0.583)
Tm (0.491, 0.427, 0.613)
Tm (0.500, 0.500, 0.000)
Tm (0.509, 0.573, 0.387)
Tm (0.795, 0.119, 0.417)

***

3.
Theoretical powder XRD pattern
Compound: Pm2Ho4Tm3
Radiation: Cu Kα (weighted mean of Kα1 and Kα2)
Structure: a DFT-relaxed cell (PBE, Alexandria)

Peak list (10 most intense, 15 to 90 degrees two-theta, by angle)
| 2θ/deg | d (Å) | I/Imax |
| --- | --- | --- |
| 30.3 | 2.947 | 63 |
| 30.9 | 2.891 | 47 |
| 31.2 | 2.866 | 60 |
| 32.1 | 2.792 | 100 |
| 37.6 | 2.391 | 33 |
| 38.4 | 2.347 | 27 |
| 50.4 | 1.810 | 14 |
| 52.1 | 1.754 | 12 |
| 56.4 | 1.632 | 21 |
| 58.5 | 1.578 | 13 |

abc: 9.894 9.894 6.118
angles: 94.86 94.86 71.52
Element x y z (fractional)
Pm (0.024, 0.733, 0.678)
Pm (0.267, 0.976, 0.822)
Pm (0.733, 0.024, 0.178)
Pm (0.976, 0.267, 0.322)
Ho (0.076, 0.355, 0.848)
Ho (0.312, 0.594, 0.986)
Ho (0.355, 0.076, 0.348)
Ho (0.406, 0.688, 0.514)
Ho (0.594, 0.312, 0.486)
Ho (0.645, 0.924, 0.652)
Ho (0.688, 0.406, 0.014)
Ho (0.924, 0.645, 0.152)
Tm (0.098, 0.902, 0.250)
Tm (0.237, 0.433, 0.408)
Tm (0.433, 0.237, 0.908)
Tm (0.567, 0.763, 0.092)
Tm (0.763, 0.567, 0.592)
Tm (0.902, 0.098, 0.750)

***

4.
Theoretical powder XRD pattern
Compound: Pm6HoTm4
Radiation: Cu Kα (weighted mean of Kα1 and Kα2)
Structure: a DFT-relaxed cell (PBE, Alexandria)

Peak list (10 most intense, 15 to 90 degrees two-theta, by angle)
| 2θ/deg | d (Å) | I/Imax |
| --- | --- | --- |
| 28.3 | 3.149 | 38 |
| 28.9 | 3.093 | 59 |
| 29.6 | 3.023 | 30 |
| 30.5 | 2.927 | 100 |
| 31.6 | 2.829 | 23 |
| 34.3 | 2.616 | 73 |
| 37.1 | 2.423 | 32 |
| 38.3 | 2.349 | 29 |
| 40.3 | 2.236 | 33 |
| 57.4 | 1.604 | 29 |

abc: 9.700 9.700 9.700
angles: 139.95 139.95 57.93
Element x y z (fractional)
Pm (0.000, 0.500, 0.500)
Pm (0.013, 0.634, 0.000)
Pm (0.366, 0.366, 0.378)
Pm (0.500, 0.000, 0.500)
Pm (0.634, 0.013, 0.000)
Pm (0.987, 0.987, 0.622)
Ho (0.000, 0.000, 0.000)
Tm (0.196, 0.196, 0.642)
Tm (0.446, 0.804, 0.000)
Tm (0.554, 0.554, 0.358)
Tm (0.804, 0.446, 0.000)

***

5.
Theoretical powder XRD pattern
Compound: Pm10Ho4Tm
Radiation: Cu Kα (weighted mean of Kα1 and Kα2)
Structure: a DFT-relaxed cell (PBE, Alexandria)

Peak list (10 most intense, 15 to 90 degrees two-theta, by angle)
| 2θ/deg | d (Å) | I/Imax |
| --- | --- | --- |
| 19.8 | 4.480 | 29 |
| 22.9 | 3.880 | 10 |
| 32.6 | 2.743 | 100 |
| 38.5 | 2.340 | 16 |
| 46.8 | 1.940 | 18 |
| 51.3 | 1.780 | 7 |
| 58.2 | 1.584 | 38 |
| 68.4 | 1.372 | 12 |
| 77.8 | 1.228 | 11 |
| 78.0 | 1.226 | 5 |

abc: 9.507 9.507 9.507
angles: 99.56 99.56 131.89
Element x y z (fractional)
Pm (0.050, 0.349, 0.899)
Pm (0.150, 0.050, 0.701)
Pm (0.250, 0.750, 0.500)
Pm (0.349, 0.449, 0.299)
Pm (0.449, 0.150, 0.101)
Pm (0.551, 0.850, 0.899)
Pm (0.651, 0.551, 0.701)
Pm (0.750, 0.250, 0.500)
Pm (0.850, 0.950, 0.299)
Pm (0.950, 0.651, 0.101)
Ho (0.200, 0.400, 0.600)
Ho (0.400, 0.800, 0.199)
Ho (0.600, 0.200, 0.801)
Ho (0.800, 0.600, 0.400)
Tm (0.000, 0.000, 0.000)

***

6.
Theoretical powder XRD pattern
Compound: PmHo3Tm8
Radiation: Cu Kα (weighted mean of Kα1 and Kα2)
Structure: a DFT-relaxed cell (PBE, Alexandria)

Peak list (10 most intense, 15 to 90 degrees two-theta, by angle)
| 2θ/deg | d (Å) | I/Imax |
| --- | --- | --- |
| 27.8 | 3.206 | 17 |
| 31.9 | 2.808 | 51 |
| 32.1 | 2.784 | 100 |
| 32.5 | 2.758 | 68 |
| 36.3 | 2.473 | 37 |
| 46.2 | 1.967 | 18 |
| 52.4 | 1.745 | 22 |
| 57.0 | 1.617 | 17 |
| 57.5 | 1.603 | 19 |
| 67.3 | 1.392 | 24 |

abc: 8.523 8.523 8.523
angles: 136.36 98.31 97.57
Element x y z (fractional)
Pm (0.000, 0.000, 0.000)
Ho (0.254, 0.754, 0.500)
Ho (0.500, 0.500, 0.000)
Ho (0.746, 0.246, 0.500)
Tm (0.081, 0.251, 0.831)
Tm (0.255, 0.248, 0.502)
Tm (0.255, 0.752, 0.007)
Tm (0.420, 0.251, 0.169)
Tm (0.580, 0.749, 0.831)
Tm (0.745, 0.248, 0.993)
Tm (0.745, 0.752, 0.498)
Tm (0.919, 0.749, 0.169)

***

7.
Theoretical powder XRD pattern
Compound: Pm7Ho2Tm4
Radiation: Cu Kα (weighted mean of Kα1 and Kα2)
Structure: a DFT-relaxed cell (PBE, Alexandria)

Peak list (10 most intense, 15 to 90 degrees two-theta, by angle)
| 2θ/deg | d (Å) | I/Imax |
| --- | --- | --- |
| 26.4 | 3.374 | 11 |
| 27.3 | 3.273 | 18 |
| 29.1 | 3.072 | 17 |
| 29.9 | 2.990 | 32 |
| 32.2 | 2.782 | 100 |
| 35.7 | 2.512 | 24 |
| 51.4 | 1.779 | 14 |
| 51.5 | 1.773 | 23 |
| 59.3 | 1.559 | 10 |
| 62.1 | 1.495 | 11 |

abc: 6.143 6.143 13.090
angles: 90.00 90.00 120.00
Element x y z (fractional)
Pm (0.000, 0.000, 0.000)
Pm (0.000, 0.373, 0.223)
Pm (0.000, 0.627, 0.777)
Pm (0.373, 0.000, 0.223)
Pm (0.373, 0.373, 0.777)
Pm (0.627, 0.000, 0.777)
Pm (0.627, 0.627, 0.223)
Ho (0.333, 0.667, 0.000)
Ho (0.667, 0.333, 0.000)
Tm (0.000, 0.000, 0.392)
Tm (0.000, 0.000, 0.608)
Tm (0.333, 0.667, 0.500)
Tm (0.667, 0.333, 0.500)

***

8.
Theoretical powder XRD pattern
Compound: PmHoTm4
Radiation: Cu Kα (weighted mean of Kα1 and Kα2)
Structure: a DFT-relaxed cell (PBE, Alexandria)

Peak list (10 most intense, 15 to 90 degrees two-theta, by angle)
| 2θ/deg | d (Å) | I/Imax |
| --- | --- | --- |
| 31.8 | 2.811 | 96 |
| 32.0 | 2.796 | 89 |
| 32.2 | 2.778 | 100 |
| 45.6 | 1.988 | 17 |
| 46.0 | 1.974 | 17 |
| 46.1 | 1.967 | 15 |
| 57.0 | 1.615 | 37 |
| 57.3 | 1.607 | 17 |
| 63.5 | 1.466 | 16 |
| 63.7 | 1.460 | 21 |

abc: 3.441 9.591 5.616
angles: 90.00 90.51 90.00
Element x y z (fractional)
Pm (0.000, 0.000, 0.000)
Ho (0.000, 0.500, 0.500)
Tm (0.500, 0.170, 0.500)
Tm (0.500, 0.334, 0.000)
Tm (0.500, 0.666, 0.000)
Tm (0.500, 0.830, 0.500)

***

9.
Theoretical powder XRD pattern
Compound: Pm6HoTm3
Radiation: Cu Kα (weighted mean of Kα1 and Kα2)
Structure: a DFT-relaxed cell (PBE, Alexandria)

Peak list (10 most intense, 15 to 90 degrees two-theta, by angle)
| 2θ/deg | d (Å) | I/Imax |
| --- | --- | --- |
| 28.4 | 3.142 | 28 |
| 28.5 | 3.132 | 48 |
| 28.7 | 3.113 | 47 |
| 29.9 | 2.984 | 30 |
| 31.3 | 2.857 | 100 |
| 31.6 | 2.831 | 59 |
| 32.9 | 2.724 | 20 |
| 33.9 | 2.648 | 30 |
| 34.2 | 2.621 | 50 |
| 60.2 | 1.538 | 21 |

abc: 11.070 11.070 6.282
angles: 90.00 90.00 120.74
Element x y z (fractional)
Pm (0.037, 0.963, 0.500)
Pm (0.058, 0.481, 0.048)
Pm (0.280, 0.720, 0.751)
Pm (0.287, 0.374, 0.857)
Pm (0.374, 0.287, 0.357)
Pm (0.481, 0.058, 0.548)
Pm (0.519, 0.942, 0.048)
Pm (0.626, 0.713, 0.857)
Pm (0.713, 0.626, 0.357)
Pm (0.720, 0.280, 0.251)
Pm (0.942, 0.519, 0.548)
Pm (0.963, 0.037, 0.000)
Ho (0.197, 0.803, 0.288)
Ho (0.803, 0.197, 0.788)
Tm (0.054, 0.280, 0.432)
Tm (0.280, 0.054, 0.932)
Tm (0.387, 0.613, 0.322)
Tm (0.613, 0.387, 0.822)
Tm (0.720, 0.946, 0.432)
Tm (0.946, 0.720, 0.932)

***

10.
Theoretical powder XRD pattern
Compound: PmHo5Tm7
Radiation: Cu Kα (weighted mean of Kα1 and Kα2)
Structure: a DFT-relaxed cell (PBE, Alexandria)

Peak list (10 most intense, 15 to 90 degrees two-theta, by angle)
| 2θ/deg | d (Å) | I/Imax |
| --- | --- | --- |
| 27.9 | 3.201 | 37 |
| 31.1 | 2.879 | 49 |
| 31.3 | 2.861 | 77 |
| 31.4 | 2.846 | 49 |
| 32.0 | 2.793 | 100 |
| 35.2 | 2.548 | 96 |
| 36.4 | 2.469 | 35 |
| 57.6 | 1.600 | 32 |
| 58.2 | 1.584 | 42 |
| 67.0 | 1.397 | 27 |

abc: 8.592 8.592 8.592
angles: 134.38 100.84 96.46
Element x y z (fractional)
Pm (0.000, 0.000, 0.000)
Ho (0.428, 0.432, 0.460)
Ho (0.428, 0.968, 0.996)
Ho (0.697, 0.197, 0.500)
Ho (0.972, 0.432, 0.004)
Ho (0.972, 0.968, 0.540)
Tm (0.120, 0.450, 0.670)
Tm (0.201, 0.701, 0.500)
Tm (0.277, 0.948, 0.330)
Tm (0.390, 0.390, 0.000)
Tm (0.618, 0.948, 0.670)
Tm (0.696, 0.696, 0.000)
Tm (0.780, 0.450, 0.330)

***

11.
Theoretical powder XRD pattern
Compound: Pm5Ho3Tm4
Radiation: Cu Kα (weighted mean of Kα1 and Kα2)
Structure: a DFT-relaxed cell (PBE, Alexandria)

Peak list (10 most intense, 15 to 90 degrees two-theta, by angle)
| 2θ/deg | d (Å) | I/Imax |
| --- | --- | --- |
| 29.6 | 3.015 | 96 |
| 29.7 | 3.004 | 100 |
| 32.7 | 2.738 | 64 |
| 35.0 | 2.562 | 42 |
| 35.4 | 2.533 | 36 |
| 35.7 | 2.512 | 11 |
| 48.7 | 1.870 | 33 |
| 49.0 | 1.859 | 29 |
| 56.5 | 1.628 | 32 |
| 61.8 | 1.502 | 12 |

abc: 6.327 6.327 12.934
angles: 103.19 103.19 51.28
Element x y z (fractional)
Pm (0.000, 0.000, 0.000)
Pm (0.142, 0.142, 0.466)
Pm (0.267, 0.267, 0.110)
Pm (0.733, 0.733, 0.890)
Pm (0.858, 0.858, 0.534)
Ho (0.340, 0.340, 0.731)
Ho (0.500, 0.500, 0.000)
Ho (0.660, 0.660, 0.269)
Tm (0.051, 0.051, 0.777)
Tm (0.408, 0.408, 0.375)
Tm (0.592, 0.592, 0.625)
Tm (0.949, 0.949, 0.223)

***

12.
Theoretical powder XRD pattern
Compound: PmHo9Tm2
Radiation: Cu Kα (weighted mean of Kα1 and Kα2)
Structure: a DFT-relaxed cell (PBE, Alexandria)

Peak list (10 most intense, 15 to 90 degrees two-theta, by angle)
| 2θ/deg | d (Å) | I/Imax |
| --- | --- | --- |
| 30.2 | 2.957 | 26 |
| 31.6 | 2.828 | 52 |
| 32.1 | 2.787 | 100 |
| 35.6 | 2.522 | 22 |
| 38.0 | 2.366 | 16 |
| 45.7 | 1.985 | 18 |
| 56.9 | 1.617 | 18 |
| 57.2 | 1.609 | 17 |
| 62.8 | 1.479 | 29 |
| 81.3 | 1.183 | 13 |

abc: 11.150 11.150 3.489
angles: 90.00 90.00 120.00
Element x y z (fractional)
Pm (0.000, 0.000, 0.000)
Ho (0.000, 0.500, 0.000)
Ho (0.178, 0.357, 0.500)
Ho (0.178, 0.822, 0.500)
Ho (0.357, 0.178, 0.500)
Ho (0.500, 0.000, 0.000)
Ho (0.500, 0.500, 0.000)
Ho (0.643, 0.822, 0.500)
Ho (0.822, 0.178, 0.500)
Ho (0.822, 0.643, 0.500)
Tm (0.333, 0.667, 0.000)
Tm (0.667, 0.333, 0.000)

***

13.
Theoretical powder XRD pattern
Compound: Pm8Ho4Tm
Radiation: Cu Kα (weighted mean of Kα1 and Kα2)
Structure: a DFT-relaxed cell (PBE, Alexandria)

Peak list (10 most intense, 15 to 90 degrees two-theta, by angle)
| 2θ/deg | d (Å) | I/Imax |
| --- | --- | --- |
| 16.0 | 5.535 | 4 |
| 19.6 | 4.520 | 14 |
| 22.7 | 3.914 | 4 |
| 25.4 | 3.501 | 5 |
| 32.3 | 2.768 | 100 |
| 38.1 | 2.360 | 8 |
| 46.4 | 1.957 | 18 |
| 57.7 | 1.598 | 37 |
| 67.7 | 1.384 | 11 |
| 77.0 | 1.238 | 16 |

abc: 7.828 7.828 7.828
angles: 90.05 90.05 90.05
Element x y z (fractional)
Pm (0.241, 0.241, 0.241)
Pm (0.241, 0.241, 0.759)
Pm (0.241, 0.759, 0.241)
Pm (0.241, 0.759, 0.759)
Pm (0.759, 0.241, 0.241)
Pm (0.759, 0.241, 0.759)
Pm (0.759, 0.759, 0.241)
Pm (0.759, 0.759, 0.759)
Ho (0.000, 0.000, 0.000)
Ho (0.000, 0.500, 0.500)
Ho (0.500, 0.000, 0.500)
Ho (0.500, 0.500, 0.000)
Tm (0.500, 0.500, 0.500)